No. 1
Computed X-ray powder pattern
Compound: Na3NpU3N8
Radiation: a wavelength of 1.5418 Å
Structure: the GGA-PBE geometry in Alexandria

Top 12 peaks for 2θ = 10–90°, sorted by position:
15.57 deg, I 1000; 29.92 deg, I 538; 31.30 deg, I 553; 31.43 deg, I 202; 36.33 deg, I 555; 39.75 deg, I 223; 47.87 deg, I 237; 52.24 deg, I 202; 52.42 deg, I 176; 54.85 deg, I 239; 62.22 deg, I 273; 62.41 deg, I 102

Cell and atoms:
```
data_Na3NpU3N8
_symmetry_space_group_name_H-M 'P 1'
_symmetry_Int_Tables_number 1
_cell_length_a 6.982
_cell_length_b 6.982
_cell_length_c 6.982
_cell_angle_alpha 60.21
_cell_angle_beta 60.21
_cell_angle_gamma 60.21
loop_
_symmetry_equiv_pos_as_xyz
'x,y,z'
loop_
_atom_site_label
_atom_site_fract_x
_atom_site_fract_y
_atom_site_fract_z
Na1 0.000 0.500 0.500
Na2 0.500 0.000 0.500
Na3 0.500 0.500 0.000
Np1 0.500 0.500 0.500
U1 0.000 0.000 0.500
U2 0.000 0.500 0.000
U3 0.500 0.000 0.000
N1 0.223 0.722 0.722
N2 0.228 0.228 0.228
N3 0.278 0.278 0.777
N4 0.278 0.777 0.278
N5 0.722 0.223 0.722
N6 0.722 0.722 0.223
N7 0.772 0.772 0.772
N8 0.777 0.278 0.278
```


No. 2
Computed X-ray powder pattern
Compound: Na8N3O
Radiation: a wavelength of 1.5418 Å
Structure: the GGA-PBE geometry in Alexandria

Top 12 peaks for 2θ = 10–90°, sorted by position:
15.28 deg, I 16; 26.62 deg, I 171; 30.84 deg, I 428; 44.17 deg, I 1000; 52.32 deg, I 47; 54.84 deg, I 113; 57.28 deg, I 11; 64.24 deg, I 134; 70.82 deg, I 14; 72.95 deg, I 129; 81.27 deg, I 231; 87.37 deg, I 9

Cell and atoms:
```
data_Na8N3O
_symmetry_space_group_name_H-M 'P 1'
_symmetry_Int_Tables_number 1
_cell_length_a 5.800
_cell_length_b 5.800
_cell_length_c 5.800
_cell_angle_alpha 90.00
_cell_angle_beta 90.00
_cell_angle_gamma 90.00
loop_
_symmetry_equiv_pos_as_xyz
'x,y,z'
loop_
_atom_site_label
_atom_site_fract_x
_atom_site_fract_y
_atom_site_fract_z
Na1 0.243 0.243 0.243
Na2 0.243 0.243 0.757
Na3 0.243 0.757 0.243
Na4 0.243 0.757 0.757
Na5 0.757 0.243 0.243
Na6 0.757 0.243 0.757
Na7 0.757 0.757 0.243
Na8 0.757 0.757 0.757
N1 0.000 0.500 0.500
N2 0.500 0.000 0.500
N3 0.500 0.500 0.000
O1 0.000 0.000 0.000
```


No. 3
Computed X-ray powder pattern
Compound: NaPNO3
Radiation: a wavelength of 1.5418 Å
Structure: the GGA-PBE geometry in Alexandria

Top 12 peaks for 2θ = 10–90°, sorted by position:
22.45 deg, I 1000; 27.29 deg, I 87; 31.12 deg, I 309; 32.78 deg, I 163; 38.71 deg, I 98; 41.86 deg, I 67; 45.45 deg, I 127; 45.83 deg, I 192; 50.47 deg, I 96; 64.88 deg, I 107; 65.56 deg, I 45; 77.35 deg, I 53

Cell and atoms:
```
data_NaPNO3
_symmetry_space_group_name_H-M 'P 1'
_symmetry_Int_Tables_number 1
_cell_length_a 5.748
_cell_length_b 5.748
_cell_length_c 6.535
_cell_angle_alpha 90.00
_cell_angle_beta 90.00
_cell_angle_gamma 120.00
loop_
_symmetry_equiv_pos_as_xyz
'x,y,z'
loop_
_atom_site_label
_atom_site_fract_x
_atom_site_fract_y
_atom_site_fract_z
Na1 0.000 0.000 0.000
Na2 0.000 0.000 0.500
P1 0.333 0.667 0.188
P2 0.667 0.333 0.688
N1 0.333 0.667 0.927
N2 0.667 0.333 0.427
O1 0.186 0.371 0.254
O2 0.186 0.814 0.254
O3 0.371 0.186 0.754
O4 0.629 0.814 0.254
O5 0.814 0.186 0.754
O6 0.814 0.629 0.754
```